Structure and simulated PXRD pattern of CeMnMo2C4 (a DFT-relaxed cell (GGA-PBE, Alexandria); Cu Kα X-rays).
Peak positions follow from Bragg's law for the DFT cell and can differ from measured ones.

Structural model:
a b c (Å): 3.228 10.930 10.595
angles (deg): 90.00 90.00 90.00
Space group Cmcm (No. 63)
Symmetry-distinct sites (fractional):
Ce 0.000 0.097 0.250 (multiplicity 4)
Mn 0.000 0.165 0.750 (multiplicity 4)
Mo 0.000 0.374 0.041 (multiplicity 8)
C 0.000 0.000 0.000 (multiplicity 4)
C 0.000 0.267 0.615 (multiplicity 8)
C 0.000 0.423 0.250 (multiplicity 4)

Peak list (8 most intense, 10° ≤ 2θ ≤ 80°, sorted by position)
| h k l | 2θ (°) | d_spacing | I_rel |
| --- | --- | --- | --- |
| 0 2 3 | 30.1 | 2.967 | 55 |
| 0 4 0 | 32.8 | 2.733 | 42 |
| 1 1 2 | 33.5 | 2.673 | 100 |
| 0 0 4 | 33.9 | 2.648 | 49 |
| 1 3 1 | 38.2 | 2.356 | 43 |
| 1 3 2 | 41.1 | 2.198 | 49 |
| 1 5 2 | 53.5 | 1.713 | 24 |
| 1 3 5 | 57.9 | 1.593 | 24 |